For Pm3Ho8Th2, a GGA-PBE-relaxed structure gives the theoretical powder X-ray diffraction pattern in this record (Cu Kα X-rays).

Cell and atoms:
```
Pm3Ho8Th2
1.0
6.1193 0.0000 0.0000
-1.7566 7.5794 0.0000
-3.0212 -0.8632 18.3049
Pm Ho Th
6 16 4
Cartesian
0.0000 0.0000 0.0000
-2.3983 1.7668 13.2616
-2.3917 5.0870 14.5655
1.5490 -0.4316 9.1525
3.7332 1.6292 3.7394
3.7398 4.9494 5.0433
-1.4538 1.1976 9.8296
0.5399 -0.0347 3.2656
-1.3044 4.4775 11.2110
-0.3342 3.8426 7.7754
0.6147 3.3213 4.3819
1.7534 2.6508 1.1233
-0.3361 0.6912 16.1789
0.5337 0.1442 12.5370
0.8077 6.5720 5.7679
1.6775 6.0250 2.1260
-0.4120 4.0654 17.1816
0.7267 3.3949 13.9230
1.6757 2.8736 10.5295
2.6459 2.2387 7.0939
0.8016 6.7508 15.0393
2.7953 5.5186 8.4753
-3.4599 2.4423 16.7388
-0.4632 0.6164 6.4801
1.8047 6.0998 11.8248
4.8014 4.2739 1.5661
```

Principal peaks in the range 10 to 90 degrees two-theta, sorted by position:
2theta	I_rel
30.70	55
30.80	49
31.11	100
34.80	39
35.81	36
36.96	28
50.80	23
59.67	16
60.32	14
61.45	14



For KZn2HgRh, a GGA-PBE-relaxed structure gives the theoretical powder X-ray diffraction pattern in this record (Cu Kα X-rays).

Cell and atoms:
```
KZn2HgRh
1.0
4.9044 0.0000 0.0000
0.0000 4.9044 0.0000
0.0000 0.0000 5.3279
K Zn Hg Rh
1 2 1 1
Cartesian
0.0000 0.0000 0.0000
0.0000 2.4522 2.6640
2.4522 0.0000 2.6640
2.4522 2.4522 0.0000
2.4522 2.4522 2.6640
```

Principal peaks in the range 10 to 90 degrees two-theta, sorted by position:
2theta	I_rel
18.09	100
25.69	26
30.76	62
33.64	38
36.65	60
38.46	31
41.16	26
50.59	47
54.17	24
64.08	23



For Ce2YP2N6, a GGA-PBE-relaxed structure gives the theoretical powder X-ray diffraction pattern in this record (Cu Kα X-rays).

Cell and atoms:
```
Ce2YP2N6
1.0
5.8832 0.0000 0.0000
-2.9416 5.0950 0.0000
0.0000 0.0000 5.8889
Ce Y P N
2 1 2 6
Cartesian
0.0000 3.3966 1.9375
2.9416 1.6983 3.9514
0.0000 0.0000 2.9444
0.0000 3.3966 4.7219
2.9416 1.6983 1.1670
-0.6235 1.9789 4.0952
-0.9161 4.6455 4.0952
1.4020 1.5294 1.7937
1.5396 3.5656 4.0952
3.8577 0.4495 1.7937
3.5651 3.1161 1.7937
```

Principal peaks in the range 10 to 90 degrees two-theta, sorted by position:
2theta	I_rel
15.04	59
23.08	45
30.38	100
34.07	35
35.20	71
38.50	24
47.18	37
49.80	32
57.15	35
74.46	25



For Dy2AlCu3, a GGA-PBE-relaxed structure gives the theoretical powder X-ray diffraction pattern in this record (Cu Kα X-rays).

Cell and atoms:
```
Dy2AlCu3
1.0
-1.8863 2.0238 7.7011
1.8863 -2.0238 7.7011
1.8863 2.0238 -7.7011
Dy Al Cu
2 1 3
Cartesian
0.0000 0.0000 0.0000
0.0000 2.0238 4.0846
0.0000 0.0000 9.1754
1.8863 0.0000 2.7666
1.8863 0.0000 5.2069
0.0000 0.0000 6.6801
```

Principal peaks in the range 10 to 90 degrees two-theta, sorted by position:
2theta	I_rel
23.10	18
28.07	18
29.38	17
34.52	100
36.66	30
37.70	21
44.78	18
47.86	19
48.24	15
67.62	13



For Y6NiBr10, a GGA-PBE-relaxed structure gives the theoretical powder X-ray diffraction pattern in this record (Cu Kα X-rays).

Cell and atoms:
```
Y6NiBr10
1.0
7.3396 0.0000 0.0000
-2.2954 8.8594 0.0000
-1.0545 -3.1173 8.5874
Y Ni Br
6 1 10
Cartesian
-0.6416 0.5618 3.5196
-0.6145 4.0417 2.2020
0.4201 3.4794 5.7844
3.5696 2.2628 2.8030
4.6042 1.7004 6.3854
4.6313 5.1803 5.0677
-1.6749 2.8711 4.2937
-1.7067 6.7098 2.7992
0.9413 1.7094 1.3473
-0.5252 2.1620 8.2178
-0.4974 5.9959 6.6288
1.9867 1.0026 5.0477
2.0030 4.7395 3.5396
4.4871 -0.2538 1.9586
4.5149 3.5801 0.3695
3.0484 4.0327 7.2400
5.6964 -0.9676 5.7882
```

Principal peaks in the range 10 to 90 degrees two-theta, sorted by position:
2theta	I_rel
10.30	43
10.62	42
29.63	99
30.75	100
30.88	97
42.96	30
43.20	32
43.48	67
44.07	32
44.21	34



For LiTbGa6, a GGA-PBE-relaxed structure gives the theoretical powder X-ray diffraction pattern in this record (Cu Kα X-rays).

Cell and atoms:
```
LiTbGa6
1.0
4.3255 0.0000 0.0000
0.0000 3.2376 5.3728
0.0000 -3.2376 5.3728
Li Tb Ga
1 1 6
Cartesian
0.0000 0.0000 0.0000
2.1627 0.0000 3.2453
0.0000 0.0000 5.3295
0.0000 -1.3346 7.7008
0.0000 1.3346 7.7008
2.1627 -1.6518 5.9294
2.1627 1.6518 5.9294
2.1627 0.0000 8.8704
```

Principal peaks in the range 10 to 90 degrees two-theta, sorted by position:
2theta	I_rel
15.98	17
26.13	20
32.28	30
33.35	16
38.57	100
39.49	43
41.77	28
58.94	15
74.12	14
74.79	21